Starting from a PBE+U-relaxed structure, the powder X-ray diffraction pattern of K2FeH4S2O10 was simulated for Cu Kα X-rays.
Intensities are scaled so that the largest is 100.

Atomic structure:
abc: 5.240 7.084 7.132
angles: 103.28 95.44 105.98
Space group P-1 (No. 2)
Unique sites:
K 0.225 0.372 0.236 (multiplicity 2)
Fe 0.500 0.000 0.500 (multiplicity 1)
H 0.251 0.941 0.152 (multiplicity 2)
H 0.441 0.051 0.865 (multiplicity 2)
S 0.138 0.282 0.713 (multiplicity 2)
O 0.098 0.136 0.838 (multiplicity 2)
O 0.119 0.759 0.424 (multiplicity 2)
O 0.224 0.494 0.834 (multiplicity 2)
O 0.350 0.252 0.591 (multiplicity 2)
O 0.444 0.021 0.202 (multiplicity 2)

Principal peaks in the range 10° ≤ 2θ ≤ 90°, in order of rising 2θ:
hkl 0 0 1, 12.9 deg, I 57; hkl 0 1 -1, 16.0 deg, I 83; hkl -1 1 1, 23.2 deg, I 22; hkl 1 1 0, 25.6 deg, I 100; hkl 0 1 -2, 26.0 deg, I 83; hkl 1 -2 0, 27.6 deg, I 77; hkl 1 -1 2, 31.8 deg, I 37; hkl -1 2 1, 32.4 deg, I 18; hkl 2 -1 0, 34.5 deg, I 39; hkl 1 2 -2, 39.2 deg, I 17; hkl 0 3 0, 41.3 deg, I 17; hkl 1 -3 2, 43.1 deg, I 15